RePdO4: theoretical X-ray powder pattern (CuKα), based on a crystal structure in Alexandria, relaxed with PBE.
Neutral-atom scattering factors, no anomalous dispersion.

Largest 10 diffraction maxima, sorted by position, 5 to 70 degrees two-theta:
Position (°2θ)  Rel. int.  index
16.0  82  1 0 0
19.2  100  0 1 1
19.3  28  1 0 1
21.5  78  0 0 2
26.9  48  1 0 2
37.9  25  2 1 1
38.9  34  0 2 2
39.2  33  2 0 2
46.2  25  2 2 0
51.5  31  2 2 2

Structural model:
Cell: 5.537 5.585 8.248 Å, 90.00 90.00 90.00°
Sites, in units of the cell vectors:
Re 0.000 0.000 0.000
Re 0.000 0.500 0.500
Pd 0.000 0.000 0.500
Pd 0.500 0.000 0.000
O 0.181 0.186 0.126
O 0.181 0.814 0.874
O 0.190 0.320 0.624
O 0.190 0.680 0.376
O 0.810 0.320 0.376
O 0.810 0.680 0.624
O 0.819 0.186 0.874
O 0.819 0.814 0.126